For Tl2Cu2I5, a crystal structure in Alexandria, relaxed with PBE gives the calculated powder diffraction line list in this record (copper Kα).
Kinematic intensities with the Lorentz-polarization factor, no thermal factor.

Structural model:
```
data_Tl2Cu2I5
_symmetry_space_group_name_H-M 'I m a 2'
_symmetry_Int_Tables_number 46
_cell_length_a 18.806
_cell_length_b 8.771
_cell_length_c 8.067
_cell_angle_alpha 90.00
_cell_angle_beta 90.00
_cell_angle_gamma 90.00
loop_
_symmetry_equiv_pos_as_xyz
'x,y,z'
'-x,-y,z'
'-x+1/2,y,z'
'x+1/2,-y,z'
'x+1/2,y+1/2,z+1/2'
'-x+1/2,-y+1/2,z+1/2'
'-x,y+1/2,z+1/2'
'x,-y+1/2,z+1/2'
loop_
_atom_site_label
_atom_site_type_symbol
_atom_site_fract_x
_atom_site_fract_y
_atom_site_fract_z
Tl1 Tl 0.103 0.043 0.000
Cu1 Cu 0.000 0.000 0.499
Cu2 Cu 0.250 0.604 0.022
I1 I 0.022 0.731 0.218
I2 I 0.140 0.061 0.439
I3 I 0.250 0.643 0.348
```

Main lines, most intense first (5 to 70 degrees two-theta):
(0 2 2), 2θ 30.1, d = 2.969 Å, rel. 100; (4 2 0), 2θ 27.8, d = 3.207 Å, rel. 67; (4 0 2), 2θ 29.2, d = 3.061 Å, rel. 64; (6 1 1), 2θ 32.3, d = 2.772 Å, rel. 56; (3 3 0), 2θ 33.8, d = 2.650 Å, rel. 39; (4 1 1), 2θ 24.1, d = 3.686 Å, rel. 39; (0 0 2), 2θ 22.0, d = 4.034 Å, rel. 37; (5 1 0), 2θ 25.8, d = 3.457 Å, rel. 36; (2 0 0), 2θ 9.4, d = 9.403 Å, rel. 35; (4 1 3), 2θ 40.0, d = 2.256 Å, rel. 31


For TlVCuI6, a crystal structure in Alexandria, relaxed with PBE gives the calculated powder diffraction line list in this record (copper Kα).
Kinematic intensities with the Lorentz-polarization factor, no thermal factor.

Structural model:
```
data_TlVCuI6
_symmetry_space_group_name_H-M 'P 1'
_symmetry_Int_Tables_number 1
_cell_length_a 7.145
_cell_length_b 7.253
_cell_length_c 7.514
_cell_angle_alpha 91.68
_cell_angle_beta 93.86
_cell_angle_gamma 115.55
loop_
_symmetry_equiv_pos_as_xyz
'x,y,z'
loop_
_atom_site_label
_atom_site_type_symbol
_atom_site_fract_x
_atom_site_fract_y
_atom_site_fract_z
Tl1 Tl 0.000 0.000 0.000
V1 V 0.664 0.345 0.505
Cu1 Cu 0.358 0.724 0.465
I1 I 0.360 0.043 0.673
I2 I 0.376 0.405 0.272
I3 I 0.604 0.647 0.707
I4 I 0.634 0.034 0.272
I5 I 0.959 0.374 0.756
I6 I 0.973 0.626 0.316
```

Main lines, most intense first (5 to 70 degrees two-theta):
(1 1 1), 2θ 27.1, d = 3.289 Å, rel. 100; (1 -2 1), 2θ 27.2, d = 3.281 Å, rel. 51; (1 -1 1), 2θ 19.0, d = 4.670 Å, rel. 42; (2 -1 2), 2θ 35.9, d = 2.500 Å, rel. 41; (1 0 -1), 2θ 17.4, d = 5.096 Å, rel. 40; (1 1 -2), 2θ 31.9, d = 2.803 Å, rel. 38; (-1 2 2), 2θ 34.9, d = 2.571 Å, rel. 36; (-1 1 1), 2θ 18.6, d = 4.773 Å, rel. 32; (-1 2 1), 2θ 27.7, d = 3.225 Å, rel. 26; (0 3 0), 2θ 41.5, d = 2.177 Å, rel. 25


For YCuI4, a crystal structure in Alexandria, relaxed with PBE gives the calculated powder diffraction line list in this record (copper Kα).
Kinematic intensities with the Lorentz-polarization factor, no thermal factor.

Structural model:
```
data_YCuI4
_symmetry_space_group_name_H-M 'C 1 2/m 1'
_symmetry_Int_Tables_number 12
_cell_length_a 17.075
_cell_length_b 4.200
_cell_length_c 7.539
_cell_angle_alpha 90.00
_cell_angle_beta 114.91
_cell_angle_gamma 90.00
loop_
_symmetry_equiv_pos_as_xyz
'x,y,z'
'-x,-y,-z'
'-x,y,-z'
'x,-y,z'
'x+1/2,y+1/2,z'
'-x+1/2,-y+1/2,-z'
'-x+1/2,y+1/2,-z'
'x+1/2,-y+1/2,z'
loop_
_atom_site_label
_atom_site_type_symbol
_atom_site_fract_x
_atom_site_fract_y
_atom_site_fract_z
Y1 Y 0.000 0.000 0.000
Cu1 Cu 0.000 0.500 0.500
I1 I 0.097 0.000 0.442
I2 I 0.124 0.500 0.975
```

Main lines, most intense first (5 to 70 degrees two-theta):
(3 1 -1), 2θ 27.0, d = 3.302 Å, rel. 100; (2 0 0), 2θ 11.4, d = 7.743 Å, rel. 90; (0 0 2), 2θ 26.1, d = 3.419 Å, rel. 73; (5 1 -1), 2θ 33.8, d = 2.649 Å, rel. 66; (3 1 -3), 2θ 41.9, d = 2.156 Å, rel. 49; (5 1 1), 2θ 42.6, d = 2.122 Å, rel. 39; (1 1 1), 2θ 26.8, d = 3.330 Å, rel. 32; (0 2 0), 2θ 43.1, d = 2.099 Å, rel. 30; (2 0 2), 2θ 32.8, d = 2.731 Å, rel. 25; (4 0 0), 2θ 23.0, d = 3.872 Å, rel. 23


For Zn2CuI5, a crystal structure in Alexandria, relaxed with PBE gives the calculated powder diffraction line list in this record (copper Kα).
Kinematic intensities with the Lorentz-polarization factor, no thermal factor.

Structural model:
```
data_Zn2CuI5
_symmetry_space_group_name_H-M 'C m c m'
_symmetry_Int_Tables_number 63
_symmetry_space_group_name_Hall '-C 2c 2'
_cell_length_a 4.221
_cell_length_b 14.242
_cell_length_c 20.918
_cell_angle_alpha 90.00
_cell_angle_beta 90.00
_cell_angle_gamma 90.00
loop_
_atom_site_label
_atom_site_type_symbol
_atom_site_fract_x
_atom_site_fract_y
_atom_site_fract_z
Zn1 Zn 0.000 0.098 0.140
Cu1 Cu 0.000 0.163 0.750
I1 I 0.000 0.083 0.642
I2 I 0.000 0.207 0.250
I3 I 0.000 0.342 0.573
```

Main lines, most intense first (5 to 70 degrees two-theta):
(1 1 3), 2θ 25.4, d = 3.503 Å, rel. 100; (1 3 2), 2θ 29.6, d = 3.020 Å, rel. 63; (1 5 4), 2θ 42.0, d = 2.152 Å, rel. 58; (0 2 4), 2θ 21.1, d = 4.215 Å, rel. 55; (1 1 2), 2θ 23.6, d = 3.774 Å, rel. 55; (1 1 0), 2θ 22.0, d = 4.047 Å, rel. 47; (1 1 8), 2θ 41.1, d = 2.196 Å, rel. 45; (0 0 2), 2θ 8.5, d = 10.459 Å, rel. 41; (0 2 3), 2θ 17.8, d = 4.982 Å, rel. 40; (2 0 0), 2θ 42.8, d = 2.111 Å, rel. 40


For Zn5CuI12, a crystal structure in Alexandria, relaxed with PBE gives the calculated powder diffraction line list in this record (copper Kα).
Kinematic intensities with the Lorentz-polarization factor, no thermal factor.

Structural model:
```
data_Zn5CuI12
_symmetry_space_group_name_H-M 'P 1'
_symmetry_Int_Tables_number 1
_cell_length_a 7.020
_cell_length_b 7.023
_cell_length_c 15.348
_cell_angle_alpha 91.00
_cell_angle_beta 90.97
_cell_angle_gamma 117.35
loop_
_symmetry_equiv_pos_as_xyz
'x,y,z'
loop_
_atom_site_label
_atom_site_type_symbol
_atom_site_fract_x
_atom_site_fract_y
_atom_site_fract_z
Zn1 Zn 0.000 0.000 0.000
Zn2 Zn 0.161 0.839 0.500
Zn3 Zn 0.323 0.678 0.000
Zn4 Zn 0.495 0.506 0.500
Zn5 Zn 0.828 0.173 0.500
Cu1 Cu 0.662 0.340 0.000
I1 I 0.021 0.699 0.887
I2 I 0.144 0.156 0.393
I3 I 0.180 0.524 0.606
I4 I 0.303 0.981 0.112
I5 I 0.353 0.353 0.898
I6 I 0.478 0.822 0.393
I7 I 0.513 0.190 0.606
I8 I 0.649 0.650 0.102
I9 I 0.675 0.030 0.898
I10 I 0.812 0.490 0.394
I11 I 0.846 0.857 0.606
I12 I 0.972 0.327 0.102
```

Main lines, most intense first (5 to 70 degrees two-theta):
(0 0 2), 2θ 11.5, d = 7.670 Å, rel. 100; (1 -2 2), 2θ 27.8, d = 3.208 Å, rel. 58; (-1 2 2), 2θ 28.1, d = 3.170 Å, rel. 54; (0 3 1), 2θ 44.1, d = 2.051 Å, rel. 38; (1 1 -3), 2θ 29.6, d = 3.018 Å, rel. 30; (1 1 3), 2θ 30.6, d = 2.925 Å, rel. 29; (2 -1 5), 2θ 39.3, d = 2.291 Å, rel. 29; (-2 1 5), 2θ 38.7, d = 2.327 Å, rel. 28; (0 3 -1), 2θ 43.8, d = 2.067 Å, rel. 27; (0 0 4), 2θ 23.2, d = 3.835 Å, rel. 27


For ZnCuI3, a crystal structure in Alexandria, relaxed with PBE gives the calculated powder diffraction line list in this record (copper Kα).
Kinematic intensities with the Lorentz-polarization factor, no thermal factor.

Structural model:
```
data_ZnCuI3
_symmetry_space_group_name_H-M 'P -1'
_symmetry_Int_Tables_number 2
_cell_length_a 4.157
_cell_length_b 8.874
_cell_length_c 11.560
_cell_angle_alpha 71.51
_cell_angle_beta 83.59
_cell_angle_gamma 77.77
loop_
_symmetry_equiv_pos_as_xyz
'x,y,z'
'-x,-y,-z'
loop_
_atom_site_label
_atom_site_type_symbol
_atom_site_fract_x
_atom_site_fract_y
_atom_site_fract_z
Zn1 Zn 0.093 0.174 0.242
Cu1 Cu 0.426 0.049 0.888
I1 I 0.052 0.869 0.266
I2 I 0.319 0.264 0.008
I3 I 0.486 0.720 0.658
```

Main lines, most intense first (5 to 70 degrees two-theta):
(0 1 0), 2θ 10.7, d = 8.267 Å, rel. 100; (1 1 2), 2θ 25.2, d = 3.537 Å, rel. 90; (0 0 1), 2θ 8.1, d = 10.951 Å, rel. 82; (1 1 -1), 2θ 25.4, d = 3.506 Å, rel. 52; (0 2 0), 2θ 21.5, d = 4.134 Å, rel. 51; (-1 1 1), 2θ 26.8, d = 3.331 Å, rel. 44; (-1 1 4), 2θ 40.6, d = 2.224 Å, rel. 41; (0 2 3), 2θ 27.3, d = 3.270 Å, rel. 40; (0 0 3), 2θ 24.4, d = 3.650 Å, rel. 39; (2 0 1), 2θ 45.1, d = 2.011 Å, rel. 38